(1)
Computed X-ray powder pattern of Lu2TcPd for CuKα, from the GGA-PBE geometry in the Materials Project.
No peak broadening, texture or thermal motion is included.

Cell and atoms:
Lattice parameters (Å, degrees): 6.7719 6.7719 6.7719 90.00 90.00 90.00
Element x y z (fractional)
Lu 0.2500 0.2500 0.2500
Lu 0.2500 0.2500 0.7500
Lu 0.2500 0.7500 0.2500
Lu 0.2500 0.7500 0.7500
Lu 0.7500 0.2500 0.2500
Lu 0.7500 0.2500 0.7500
Lu 0.7500 0.7500 0.2500
Lu 0.7500 0.7500 0.7500
Tc 0.0000 0.0000 0.0000
Tc 0.0000 0.5000 0.5000
Tc 0.5000 0.0000 0.5000
Tc 0.5000 0.5000 0.0000
Pd 0.0000 0.0000 0.5000
Pd 0.0000 0.5000 0.0000
Pd 0.5000 0.0000 0.0000
Pd 0.5000 0.5000 0.5000

The 8 most intense peaks (15 to 90 degrees two-theta), low angle first:
2θ/deg  I_rel
26.32  7
37.57  100
46.45  2
54.18  17
61.21  3
67.79  35
80.18  11
86.16  2

=====

(2)
Computed X-ray powder pattern of Sc2GaB2Ir5 for CuKα, from the GGA-PBE geometry in the Materials Project.
No peak broadening, texture or thermal motion is included.

Cell and atoms:
Lattice parameters (Å, degrees): 9.4055 9.4055 3.0733 90.00 90.00 90.00
Element x y z (fractional)
Sc 0.1752 0.3248 0.0000
Sc 0.3248 0.8248 0.0000
Sc 0.6752 0.1752 0.0000
Sc 0.8248 0.6752 0.0000
Ga 0.0000 0.0000 0.0000
Ga 0.5000 0.5000 0.0000
B 0.1250 0.6250 0.0000
B 0.3750 0.1250 0.0000
B 0.6250 0.8750 0.0000
B 0.8750 0.3750 0.0000
Ir 0.0000 0.5000 0.5000
Ir 0.0715 0.7841 0.5000
Ir 0.2159 0.0715 0.5000
Ir 0.2841 0.5715 0.5000
Ir 0.4285 0.2841 0.5000
Ir 0.5000 0.0000 0.5000
Ir 0.5715 0.7159 0.5000
Ir 0.7159 0.4285 0.5000
Ir 0.7841 0.9285 0.5000
Ir 0.9285 0.2159 0.5000

The 10 most intense peaks (15 to 90 degrees two-theta), low angle first:
2θ/deg  I_rel
29.05  80
34.38  48
36.20  47
39.50  77
42.29  100
43.01  50
45.61  56
49.78  44
74.41  42
78.33  44

=====

(3)
Computed X-ray powder pattern of NiS2 for CuKα, from the GGA-PBE geometry in the Materials Project.
No peak broadening, texture or thermal motion is included.

Cell and atoms:
Lattice parameters (Å, degrees): 6.6947 6.6947 6.6947 60.00 60.00 60.00
Element x y z (fractional)
Ni 0.0000 0.0000 0.0000
Ni 0.0000 0.0000 0.5000
Ni 0.0000 0.5000 0.0000
Ni 0.5000 0.0000 0.0000
S 0.2138 0.7621 0.7621
S 0.2379 0.2379 0.2379
S 0.2379 0.2379 0.7862
S 0.2379 0.7862 0.2379
S 0.7621 0.2138 0.7621
S 0.7621 0.7621 0.2138
S 0.7621 0.7621 0.7621
S 0.7862 0.2379 0.2379

The 10 most intense peaks (15 to 90 degrees two-theta), low angle first:
2θ/deg  I_rel
16.22  100
31.34  32
38.02  84
41.58  7
50.06  22
54.85  50
57.60  18
68.68  16
71.11  11
81.30  7

=====

(4)
Computed X-ray powder pattern of NbCr3Cu2S8 for CuKα, from the GGA-PBE geometry in the Materials Project.
No peak broadening, texture or thermal motion is included.

Cell and atoms:
Lattice parameters (Å, degrees): 6.3681 7.3178 12.1751 98.30 94.77 90.46
Element x y z (fractional)
Nb 0.0000 0.0000 0.0000
Nb 0.2286 0.8505 0.3984
Cr 0.1024 0.1798 0.6992
Cr 0.2419 0.3487 0.4047
Cr 0.4923 0.7360 0.9915
Cr 0.4932 0.2537 0.9924
Cr 0.6130 0.4176 0.6970
Cr 0.7059 0.5954 0.4060
Cu 0.1091 0.6647 0.7018
Cu 0.6090 0.9215 0.6958
Cu 0.7258 0.0988 0.4070
Cu 0.9828 0.4935 0.9911
S 0.0361 0.5741 0.3314
S 0.0443 0.0856 0.3268
S 0.1754 0.7551 0.0695
S 0.1759 0.2751 0.0722
S 0.2484 0.8947 0.5916
S 0.2632 0.3900 0.5939
S 0.4538 0.2024 0.8028
S 0.4669 0.6950 0.8044
S 0.5514 0.3267 0.3312
S 0.5569 0.8319 0.3247
S 0.6604 0.0124 0.0681
S 0.6679 0.5158 0.0669
S 0.7580 0.6378 0.5922
S 0.7610 0.1493 0.5976
S 0.9544 0.4432 0.7995
S 0.9667 0.9500 0.8080

The 10 most intense peaks (15 to 90 degrees two-theta), low angle first:
2θ/deg  I_rel
22.22  100
28.13  32
28.49  47
29.74  54
30.01  26
34.56  79
43.23  31
49.49  42
49.84  60
51.92  47

=====

(5)
Computed X-ray powder pattern of Li2Sm2Si3 for CuKα, from the GGA-PBE geometry in the Materials Project.
No peak broadening, texture or thermal motion is included.

Cell and atoms:
Lattice parameters (Å, degrees): 9.4160 9.4160 6.7660 90.00 90.00 153.25
Element x y z (fractional)
Li 0.1902 0.8098 0.5596
Li 0.1902 0.8098 0.9404
Li 0.8098 0.1902 0.0596
Li 0.8098 0.1902 0.4404
Sm 0.3428 0.6572 0.7500
Sm 0.4477 0.5523 0.2500
Sm 0.5523 0.4477 0.7500
Sm 0.6572 0.3428 0.2500
Si 0.0589 0.9411 0.0728
Si 0.0589 0.9411 0.4272
Si 0.2805 0.7195 0.2500
Si 0.7195 0.2805 0.7500
Si 0.9411 0.0589 0.5728
Si 0.9411 0.0589 0.9272

The 10 most intense peaks (15 to 90 degrees two-theta), low angle first:
2θ/deg  I_rel
20.96  45
23.45  49
26.34  36
32.16  21
33.91  65
34.63  100
41.46  21
44.79  20
49.78  21
52.04  18

=====

(6)
Computed X-ray powder pattern of K2TlAuI6 for CuKα, from the GGA-PBE geometry in the Materials Project.
No peak broadening, texture or thermal motion is included.

Cell and atoms:
Lattice parameters (Å, degrees): 8.5085 8.5085 8.5085 60.00 60.00 60.00
Element x y z (fractional)
K 0.2500 0.2500 0.2500
K 0.7500 0.7500 0.7500
Tl 0.0000 0.0000 0.0000
Au 0.5000 0.5000 0.5000
I 0.2597 0.2597 0.7403
I 0.2597 0.7403 0.2597
I 0.2597 0.7403 0.7403
I 0.7403 0.2597 0.2597
I 0.7403 0.2597 0.7403
I 0.7403 0.7403 0.2597

The 10 most intense peaks (15 to 90 degrees two-theta), low angle first:
2θ/deg  I_rel
20.88  17
25.65  25
29.70  100
33.30  62
42.50  74
45.21  34
52.70  26
63.78  19
69.92  32
77.77  24